Theoretical powder diffractogram of BaBi3 for Cu Kα (λ = 1.5418 Å), from a DFT-relaxed cell (PBE, the Materials Project).
Intensities are scaled so that the largest is 100.

Structural model:
```
BaBi3
1.0
5.177 0.000 0.000
0.000 5.177 0.000
0.000 0.000 5.177
Ba Bi
1 3
direct
0.000 0.000 0.000
0.000 0.500 0.500
0.500 0.000 0.500
0.500 0.500 0.000
```

Top 6 peaks for 2θ from 5° to 70°, by angle:
17.13 deg, rel. 3
29.89 deg, rel. 100
34.65 deg, rel. 51
49.82 deg, rel. 37
59.19 deg, rel. 45
62.11 deg, rel. 13

Theoretical powder diffractogram of ScU8S17 for Cu Kα (λ = 1.5418 Å), from a DFT-relaxed cell (PBE, the Materials Project).
Intensities are scaled so that the largest is 100.

Structural model:
```
ScU8S17
1.0
6.617 -4.205 0.000
6.617 4.205 0.000
-2.025 0.000 10.303
Sc U S
1 8 17
direct
0.000 0.000 0.000
0.183 0.699 0.303
0.205 0.205 0.459
0.301 0.817 0.697
0.319 0.319 0.982
0.681 0.681 0.018
0.699 0.183 0.303
0.795 0.795 0.541
0.817 0.301 0.697
0.000 0.000 0.500
0.058 0.669 0.036
0.062 0.062 0.235
0.178 0.568 0.534
0.211 0.211 0.721
0.304 0.304 0.248
0.331 0.942 0.964
0.432 0.822 0.466
0.479 0.479 0.830
0.521 0.521 0.170
0.568 0.178 0.534
0.669 0.058 0.036
0.696 0.696 0.752
0.789 0.789 0.279
0.822 0.432 0.466
0.938 0.938 0.765
0.942 0.331 0.964
```

Top 6 peaks for 2θ from 5° to 70°, by angle:
24.03 deg, rel. 62
25.23 deg, rel. 100
25.81 deg, rel. 65
27.38 deg, rel. 76
34.87 deg, rel. 49
43.02 deg, rel. 45